Calculated X-ray powder pattern of Ca20Cd3Ga9 for Cu Kα X-rays, from the GGA-PBE geometry in Alexandria.
Peak positions follow from Bragg's law for the DFT cell and can differ from measured ones.

Structural model:
```
data_Ca20Cd3Ga9
_chemical_formula_sum 'Ca20 Cd3 Ga9'
_cell_length_a 8.0599
_cell_length_b 8.0599
_cell_length_c 14.9018
_cell_angle_alpha 90.00
_cell_angle_beta 90.00
_cell_angle_gamma 90.00
_symmetry_space_group_name_H-M 'P 1'
_symmetry_Int_Tables_number 1
loop_
_symmetry_equiv_pos_as_xyz
'x,y,z'
loop_
_atom_site_label
_atom_site_fract_x
_atom_site_fract_y
_atom_site_fract_z
_atom_site_occupancy
Ca1 0.0000 0.0000 0.2435 1
Ca2 0.0000 0.0000 0.7565 1
Ca3 0.1724 0.3280 0.6109 1
Ca4 0.1724 0.6720 0.3891 1
Ca5 0.1808 0.3351 0.8937 1
Ca6 0.1808 0.6649 0.1063 1
Ca7 0.3280 0.1724 0.3891 1
Ca8 0.3280 0.8276 0.6109 1
Ca9 0.3351 0.1808 0.1063 1
Ca10 0.3351 0.8192 0.8937 1
Ca11 0.5000 0.5000 0.2479 1
Ca12 0.5000 0.5000 0.7521 1
Ca13 0.6649 0.1808 0.8937 1
Ca14 0.6649 0.8192 0.1063 1
Ca15 0.6720 0.1724 0.6109 1
Ca16 0.6720 0.8276 0.3891 1
Ca17 0.8192 0.3351 0.1063 1
Ca18 0.8192 0.6649 0.8937 1
Ca19 0.8276 0.3280 0.3891 1
Ca20 0.8276 0.6720 0.6109 1
Cd1 0.0000 0.0000 0.0000 1
Cd2 0.0000 0.0000 0.5000 1
Cd3 0.5000 0.5000 0.5000 1
Ga1 0.1133 0.3847 0.2481 1
Ga2 0.1133 0.6153 0.7519 1
Ga3 0.3847 0.1133 0.7519 1
Ga4 0.3847 0.8867 0.2481 1
Ga5 0.5000 0.5000 0.0000 1
Ga6 0.6153 0.1133 0.2481 1
Ga7 0.6153 0.8867 0.7519 1
Ga8 0.8867 0.3847 0.7519 1
Ga9 0.8867 0.6153 0.2481 1
```

Largest 12 diffraction maxima, low angle first, 2θ from 10° to 90°:
| 2theta | I_rel |
| --- | --- |
| 19.6 | 66 |
| 28.6 | 14 |
| 30.6 | 100 |
| 31.4 | 23 |
| 32.7 | 63 |
| 35.2 | 66 |
| 39.2 | 20 |
| 39.6 | 16 |
| 40.8 | 18 |
| 43.0 | 17 |
| 61.7 | 19 |
| 64.0 | 22 |